PmPr8Sc2: computed powder XRD pattern (Cu Kα X-rays), based on a DFT-relaxed cell (GGA-PBE, Alexandria).

Largest 6 diffraction maxima, in order of falling intensity, 10° ≤ 2θ ≤ 80°:
- 2θ 31.34, I = 100.0, (1 2 3)
- 2θ 32.12, I = 32.8, (2 0 0)
- 2θ 29.57, I = 30.0, (1 1 4)
- 2θ 31.91, I = 21.2, (0 3 1)
- 2θ 22.10, I = 18.9, (1 1 2)
- 2θ 33.94, I = 18.9, (0 0 6)

Atomic structure:
a = 5.574 Å, b = 8.548 Å, c = 15.850 Å
α = 90.00°, β = 90.00°, γ = 90.00°
Space group Immm (No. 71)
Symmetry-distinct sites (fractional):
Pm: 0.000 0.000 0.000
Pr: 0.000 0.199 0.500
Pr: 0.000 0.297 0.145
Pr: 0.000 0.500 0.339
Sc: 0.000 0.000 0.300